Record 1
Theoretical powder diffraction line list of AgS5F for copper Kα, from a crystal structure in Alexandria, relaxed with GGA-PBE.
Intensities are scaled so that the largest is 100.

Crystal structure
```
7
Lattice="4.3806 0.0000 0.0000 -0.7036 5.9578 0.0000 -1.9857 -1.1512 7.7933" Properties=species:S:1:pos:R:3 pbc="T T T"
Ag 0.0000 0.0000 0.0000
S 0.3984 2.4325 0.4168
S -0.6442 3.7919 4.4121
S 0.8107 5.2220 4.7794
S 1.2436 2.3423 7.7127
S 2.2804 4.8098 3.3731
F 2.1817 -0.0004 0.1249
```

Principal peaks in the range 2θ from 10° to 80°, in order of rising 2θ:
- hkl 0 0 1, 11.35 deg, I 91
- hkl 0 1 0, 15.03 deg, I 89
- hkl 0 1 -1, 17.49 deg, I 18
- hkl 1 0 0, 21.20 deg, I 56
- hkl 0 0 2, 22.82 deg, I 100
- hkl 1 0 -2, 26.84 deg, I 34
- hkl 1 -1 1, 28.13 deg, I 16
- hkl 0 2 0, 30.33 deg, I 24
- hkl 0 2 -1, 30.83 deg, I 17
- hkl 0 2 1, 34.06 deg, I 20
- hkl 0 0 3, 34.52 deg, I 20
- hkl 1 2 -1, 38.61 deg, I 19

---

Record 2
Theoretical powder diffraction line list of Nd3Dy5Ho3 for copper Kα, from a crystal structure in Alexandria, relaxed with GGA-PBE.
Intensities are scaled so that the largest is 100.

Crystal structure
```
11
Lattice="9.6678 0.0000 0.0000 -4.8339 8.3725 0.0000 0.0000 0.0000 5.4215" Properties=species:S:1:pos:R:3 pbc="T T T"
Nd -3.0730 5.3225 0.0000
Nd 1.7609 3.0500 0.0000
Nd 6.1459 0.0000 0.0000
Dy -1.2875 2.2300 0.0000
Dy 2.5750 0.0000 0.0000
Dy 0.0000 5.5817 0.0000
Dy 4.8339 2.7908 0.0000
Dy 3.5464 6.1425 0.0000
Ho -2.2031 3.8158 2.7107
Ho 4.4061 0.0000 2.7107
Ho 2.6308 4.5567 2.7107
```

Principal peaks in the range 2θ from 10° to 80°, in order of rising 2θ:
- hkl 1 0 0, 10.57 deg, I 46
- hkl 0 0 1, 16.35 deg, I 64
- hkl 2 0 1, 26.91 deg, I 87
- hkl 2 1 0, 28.20 deg, I 41
- hkl 3 0 0, 32.07 deg, I 55
- hkl 2 1 1, 32.77 deg, I 83
- hkl 0 0 2, 33.05 deg, I 61
- hkl 3 0 1, 36.20 deg, I 100
- hkl 3 1 1, 42.34 deg, I 35
- hkl 3 0 2, 46.71 deg, I 39
- hkl 3 0 3, 61.05 deg, I 45
- hkl 5 1 2, 71.78 deg, I 33

---

Record 3
Theoretical powder diffraction line list of Sc12TlIn3 for copper Kα, from a crystal structure in Alexandria, relaxed with GGA-PBE.
Intensities are scaled so that the largest is 100.

Crystal structure
```
16
Lattice="4.5220 0.0000 0.0000 0.0000 4.5220 0.0000 0.0000 0.0000 18.0926" Properties=species:S:1:pos:R:3 pbc="T T T"
Sc 0.0000 0.0000 0.0000
Sc 0.0000 0.0000 4.5232
Sc 0.0000 0.0000 9.0463
Sc 0.0000 0.0000 13.5694
Sc 0.0000 2.2610 2.2609
Sc 0.0000 2.2610 6.7744
Sc 0.0000 2.2610 11.3182
Sc 0.0000 2.2610 15.8317
Sc 2.2610 0.0000 2.2609
Sc 2.2610 0.0000 6.7744
Sc 2.2610 0.0000 11.3182
Sc 2.2610 0.0000 15.8317
Tl 2.2610 2.2610 9.0463
In 2.2610 2.2610 0.0000
In 2.2610 2.2610 4.5225
In 2.2610 2.2610 13.5700
```

Principal peaks in the range 2θ from 10° to 80°, in order of rising 2θ:
- hkl 1 0 0, 19.63 deg, I 34
- hkl 1 1 0, 27.90 deg, I 29
- hkl 1 1 4, 34.35 deg, I 100
- hkl 2 0 0, 39.87 deg, I 49
- hkl 2 1 0, 44.81 deg, I 17
- hkl 2 1 4, 49.36 deg, I 13
- hkl 2 2 0, 57.65 deg, I 31
- hkl 3 0 0, 61.52 deg, I 8
- hkl 3 1 0, 65.24 deg, I 6
- hkl 3 1 4, 68.86 deg, I 36
- hkl 2 2 8, 72.39 deg, I 10
- hkl 3 2 4, 79.26 deg, I 7

---

Record 4
Theoretical powder diffraction line list of LiTe4H4O6F8 for copper Kα, from a crystal structure in Alexandria, relaxed with GGA-PBE.
Intensities are scaled so that the largest is 100.

Crystal structure
```
23
Lattice="5.0493 0.0000 0.0000 -2.4403 5.9899 0.0000 -2.2344 -1.5941 11.2601" Properties=species:S:1:pos:R:3 pbc="T T T"
Li 0.0000 0.0000 0.0000
Te -1.2516 -1.0492 8.3377
Te 0.2198 -0.1624 3.1972
Te -0.0014 3.2361 0.4056
Te 1.5092 2.2854 6.1212
H -1.7212 2.5148 4.4903
H -0.8969 2.3021 9.6544
H 0.2567 -0.7116 10.3015
H -0.3529 5.3069 4.7972
O -2.4732 3.1118 4.7745
O -2.8790 3.3201 7.6796
O 0.7168 0.7574 1.6854
O -0.5110 -1.3137 10.1141
O -1.3584 1.4615 9.9353
O 1.7695 0.1572 4.3749
F -1.9522 1.1997 6.6174
F -1.1218 4.2117 2.5409
F -0.3279 1.6438 4.0865
F 0.4348 -0.1194 7.8692
F 1.3938 4.6948 0.8017
F 0.4108 4.0393 5.8854
F -0.0299 3.6943 9.3139
F 1.7230 0.0260 10.8957
```

Principal peaks in the range 2θ from 10° to 80°, in order of rising 2θ:
- hkl 1 0 -1, 19.30 deg, I 57
- hkl 1 0 0, 19.51 deg, I 30
- hkl -1 1 1, 19.95 deg, I 20
- hkl 0 1 -2, 20.17 deg, I 100
- hkl 1 -1 1, 21.79 deg, I 33
- hkl 1 0 -2, 22.10 deg, I 28
- hkl 1 0 1, 22.71 deg, I 19
- hkl 0 1 2, 23.26 deg, I 57
- hkl -1 1 2, 23.42 deg, I 19
- hkl 1 -1 2, 26.53 deg, I 17
- hkl 1 -2 0, 28.73 deg, I 24
- hkl 0 2 0, 30.14 deg, I 25